# 1
Starting from a cell relaxed with GGA-PBE, the powder XRD pattern of Hf2H2Au was simulated for Cu Kα.

The 6 most intense peaks (2θ = 5–70°), low angle first:
h k l  Position (°2θ)  d (Å)  Rel. int.
1 0 3  35.14  2.554  100
1 1 0  39.38  2.288  40
1 0 5  45.93  1.976  10
2 0 0  56.92  1.618  14
1 1 6  60.13  1.539  16
2 1 3  68.68  1.367  29

Structural model:
Cell lengths 3.2356, 3.2356, 12.4762 Å; angles 90.00, 90.00, 90.00 degrees
Space group I4/mmm (No. 139)
Inequivalent atoms, fractional coordinates:
Hf 0.0000 0.0000 0.1459 [4 per cell]
H 0.0000 0.5000 0.2500 [4 per cell]
Au 0.0000 0.0000 0.5000 [2 per cell]

***

# 2
Starting from a cell relaxed with GGA-PBE, the powder XRD pattern of Hg2HPd6Au was simulated for Cu Kα.

The 6 most intense peaks (2θ = 5–70°), low angle first:
h k l  Position (°2θ)  d (Å)  Rel. int.
-1 2 1  38.30  2.350  100
2 0 -1  38.61  2.332  49
1 0 2  38.83  2.319  49
1 2 0  43.89  2.063  34
1 0 -3  44.17  2.050  33
2 -2 1  46.21  1.965  30

Structural model:
Cell lengths 4.8730, 5.7429, 6.4499 Å; angles 102.25, 99.32, 104.60 degrees
Space group P1 (No. 1)
Inequivalent atoms, fractional coordinates:
Hg 0.0000 0.0000 0.0000 [1 per cell]
Hg 0.1819 0.3932 0.4088 [1 per cell]
H 0.7388 0.3678 0.7483 [1 per cell]
Pd 0.1855 0.8963 0.4032 [1 per cell]
Pd 0.3846 0.2954 0.8075 [1 per cell]
Pd 0.3935 0.7998 0.8003 [1 per cell]
Pd 0.7807 0.0871 0.5939 [1 per cell]
Pd 0.7887 0.6028 0.5979 [1 per cell]
Pd 0.9991 0.5025 0.0117 [1 per cell]
Au 0.5889 0.7015 0.2008 [1 per cell]

***

# 3
Starting from a cell relaxed with GGA-PBE, the powder XRD pattern of HgHRh2Au was simulated for Cu Kα.

The 6 most intense peaks (2θ = 5–70°), low angle first:
h k l  Position (°2θ)  d (Å)  Rel. int.
0 0 1  21.68  4.100  9
1 1 0  30.76  2.907  8
1 1 1  37.95  2.371  100
2 0 0  44.06  2.055  33
0 0 2  44.18  2.050  16
2 2 0  64.13  1.452  33

Structural model:
Cell lengths 4.1107, 4.1107, 4.0996 Å; angles 90.00, 90.00, 90.00 degrees
Space group P4/mmm (No. 123)
Inequivalent atoms, fractional coordinates:
Hg 0.0000 0.0000 0.0000 [1 per cell]
H 0.5000 0.5000 0.5000 [1 per cell]
Rh 0.0000 0.5000 0.5000 [2 per cell]
Au 0.5000 0.5000 0.0000 [1 per cell]

***

# 4
Starting from a cell relaxed with GGA-PBE, the powder XRD pattern of H2Au2I5 was simulated for Cu Kα.

The 6 most intense peaks (2θ = 5–70°), low angle first:
h k l  Position (°2θ)  d (Å)  Rel. int.
0 1 -1  12.39  7.146  64
0 1 -3  18.48  4.802  62
0 2 1  22.41  3.968  100
1 -1 1  24.29  3.664  48
1 0 -3  25.65  3.473  61
-1 1 3  27.84  3.204  45

Structural model:
Cell lengths 4.2926, 7.9993, 19.3371 Å; angles 84.99, 86.55, 87.79 degrees
Space group P1 (No. 1)
Inequivalent atoms, fractional coordinates:
H 0.0000 0.0000 0.0000 [1 per cell]
H 0.0706 0.6356 0.7751 [1 per cell]
H 0.4032 0.2475 0.7058 [1 per cell]
H 0.5794 0.8629 0.4660 [1 per cell]
Au 0.2768 0.4876 0.8501 [1 per cell]
Au 0.2865 0.9410 0.2824 [1 per cell]
Au 0.3376 0.5974 0.0413 [1 per cell]
Au 0.3555 0.3259 0.5190 [1 per cell]
I 0.1118 0.4121 0.4019 [1 per cell]
I 0.1542 0.2112 0.7978 [1 per cell]
I 0.2626 0.4650 0.1667 [1 per cell]
I 0.3166 0.8194 0.5291 [1 per cell]
I 0.4224 0.7411 0.9169 [1 per cell]
I 0.6797 0.2661 0.6281 [1 per cell]
I 0.7357 0.1369 0.0264 [1 per cell]
I 0.7534 0.1176 0.3320 [1 per cell]
I 0.7987 0.7632 0.2342 [1 per cell]
I 0.8627 0.7606 0.7168 [1 per cell]

***

# 5
Starting from a cell relaxed with GGA-PBE, the powder XRD pattern of H6AuIN2 was simulated for Cu Kα.

The 6 most intense peaks (2θ = 5–70°), low angle first:
h k l  Position (°2θ)  d (Å)  Rel. int.
1 1 0  13.17  6.720  47
2 0 0  22.17  4.009  54
0 2 1  22.94  3.877  90
2 2 -1  24.30  3.663  100
1 3 -1  26.42  3.373  52
2 0 -2  30.22  2.957  39

Structural model:
Cell lengths 9.5470, 12.3187, 5.9408 Å; angles 90.00, 122.87, 90.00 degrees
Space group C2/c (No. 15)
Inequivalent atoms, fractional coordinates:
H 0.1843 0.1255 0.0512 [8 per cell]
H 0.1948 0.0100 0.9191 [8 per cell]
H 0.2144 0.1266 0.7994 [8 per cell]
Au 0.0000 0.4158 0.7500 [4 per cell]
I 0.0000 0.1723 0.2500 [4 per cell]
N 0.2459 0.0870 0.9740 [8 per cell]

***

# 6
Starting from a cell relaxed with GGA-PBE, the powder XRD pattern of H3AuSI3 was simulated for Cu Kα.

The 6 most intense peaks (2θ = 5–70°), low angle first:
h k l  Position (°2θ)  d (Å)  Rel. int.
0 1 -1  14.18  6.247  100
1 0 0  16.00  5.539  29
0 1 2  21.52  4.129  23
1 1 -2  23.51  3.785  25
0 2 -2  28.58  3.123  63
0 4 0  43.78  2.068  21

Structural model:
Cell lengths 5.7757, 8.2746, 9.9317 Å; angles 90.12, 106.44, 90.02 degrees
Space group P1 (No. 1)
Inequivalent atoms, fractional coordinates:
H 0.0000 0.0000 0.0000 [1 per cell]
H 0.0235 0.6915 0.4987 [1 per cell]
H 0.0525 0.1970 0.1298 [1 per cell]
H 0.0792 0.4949 0.6283 [1 per cell]
H 0.2941 0.0082 0.1700 [1 per cell]
H 0.3227 0.6828 0.6673 [1 per cell]
Au 0.7102 0.5946 0.0592 [1 per cell]
Au 0.7402 0.0990 0.5576 [1 per cell]
S 0.1908 0.1064 0.0575 [1 per cell]
S 0.2144 0.5845 0.5542 [1 per cell]
I 0.2110 0.6021 0.0619 [1 per cell]
I 0.2365 0.0933 0.5502 [1 per cell]
I 0.6203 0.8432 0.8834 [1 per cell]
I 0.6504 0.8487 0.3828 [1 per cell]
I 0.7946 0.3446 0.2333 [1 per cell]
I 0.8256 0.3460 0.7355 [1 per cell]

***

# 7
Starting from a cell relaxed with GGA-PBE, the powder XRD pattern of In2HPd6Au was simulated for Cu Kα.

The 6 most intense peaks (2θ = 5–70°), low angle first:
h k l  Position (°2θ)  d (Å)  Rel. int.
1 1 1  22.36  3.975  13
1 2 2  38.09  2.363  51
2 0 1  38.60  2.332  100
0 2 -1  39.66  2.272  46
1 0 3  44.68  2.028  65
2 2 0  45.76  1.983  31

Structural model:
Cell lengths 4.9331, 5.6460, 6.4829 Å; angles 74.83, 74.34, 73.47 degrees
Space group P-1 (No. 2)
Inequivalent atoms, fractional coordinates:
In 0.1245 0.3723 0.2832 [2 per cell]
H 0.0000 0.0000 0.0000 [1 per cell]
Pd 0.0903 0.8833 0.3082 [2 per cell]
Pd 0.2963 0.7050 0.8965 [2 per cell]
Pd 0.3073 0.1989 0.8938 [2 per cell]
Au 0.5000 0.5000 0.5000 [1 per cell]

***

# 8
Starting from a cell relaxed with GGA-PBE, the powder XRD pattern of LaH4IrAu2 was simulated for Cu Kα.

The 6 most intense peaks (2θ = 5–70°), low angle first:
h k l  Position (°2θ)  d (Å)  Rel. int.
1 -1 0  20.74  4.283  100
1 -1 1  28.89  3.090  80
-1 1 1  29.05  3.074  80
1 1 0  37.41  2.404  87
1 1 -2  37.90  2.374  85
2 0 -1  38.07  2.364  79

Structural model:
Cell lengths 5.1305, 5.1428, 5.2332 Å; angles 107.29, 106.74, 113.00 degrees
Space group P1 (No. 1)
Inequivalent atoms, fractional coordinates:
La 0.0000 0.0000 0.0000 [1 per cell]
H 0.0613 0.5173 0.8325 [1 per cell]
H 0.4842 0.9376 0.1646 [1 per cell]
H 0.5348 0.4648 0.4998 [1 per cell]
H 0.9306 0.0687 0.5003 [1 per cell]
Ir 0.7352 0.2642 0.4993 [1 per cell]
Au 0.2470 0.7532 0.4985 [1 per cell]
Au 0.6429 0.3574 0.0002 [1 per cell]

***

# 9
Starting from a cell relaxed with GGA-PBE, the powder XRD pattern of LaH8IrAu2 was simulated for Cu Kα.

The 6 most intense peaks (2θ = 5–70°), low angle first:
h k l  Position (°2θ)  d (Å)  Rel. int.
1 -1 0  27.29  3.268  100
1 1 1  29.00  3.079  87
1 1 -1  30.31  2.949  51
0 0 2  32.67  2.741  45
0 2 1  39.71  2.270  39
2 0 1  40.76  2.214  35

Structural model:
Cell lengths 4.8700, 4.8719, 5.4947 Å; angles 86.19, 89.82, 84.41 degrees
Space group P-1 (No. 2)
Inequivalent atoms, fractional coordinates:
La 0.0000 0.0000 0.0000 [1 per cell]
H 0.0245 0.2051 0.5947 [2 per cell]
H 0.1583 0.4904 0.0177 [2 per cell]
H 0.3863 0.6843 0.7345 [2 per cell]
H 0.4852 0.7990 0.1395 [2 per cell]
Ir 0.5000 0.5000 0.0000 [1 per cell]
Au 0.2952 0.2754 0.4365 [2 per cell]

***

# 10
Starting from a cell relaxed with GGA-PBE, the powder XRD pattern of Sr2H4IrAu2 was simulated for Cu Kα.

The 6 most intense peaks (2θ = 5–70°), low angle first:
h k l  Position (°2θ)  d (Å)  Rel. int.
1 1 0  20.86  4.258  67
2 0 0  29.67  3.011  100
1 0 3  36.73  2.447  69
2 2 0  42.46  2.129  39
2 1 3  47.90  1.899  65
3 2 3  65.91  1.417  25

Structural model:
Cell lengths 6.0222, 6.0222, 8.0338 Å; angles 90.00, 90.00, 90.00 degrees
Space group I4/mmm (No. 139)
Inequivalent atoms, fractional coordinates:
Sr 0.0000 0.5000 0.2500 [4 per cell]
H 0.2000 0.2000 0.0000 [8 per cell]
Ir 0.0000 0.0000 0.0000 [2 per cell]
Au 0.0000 0.0000 0.3361 [4 per cell]

***

# 11
Starting from a cell relaxed with GGA-PBE, the powder XRD pattern of TbH4IrAu2 was simulated for Cu Kα.

The 6 most intense peaks (2θ = 5–70°), low angle first:
h k l  Position (°2θ)  d (Å)  Rel. int.
1 -1 1  25.38  3.510  78
1 1 -1  35.13  2.555  100
0 1 1  38.26  2.352  68
1 0 -2  39.19  2.299  64
1 -2 0  39.42  2.286  54
-2 1 1  39.94  2.257  49

Structural model:
Cell lengths 5.0661, 5.0725, 5.1695 Å; angles 114.56, 93.30, 119.45 degrees
Space group P1 (No. 1)
Inequivalent atoms, fractional coordinates:
Tb 0.0000 0.0000 0.0000 [1 per cell]
H 0.2400 0.0604 0.6105 [1 per cell]
H 0.5022 0.0650 0.0615 [1 per cell]
H 0.8047 0.4262 0.6364 [1 per cell]
H 0.9653 0.4961 0.1225 [1 per cell]
Ir 0.6184 0.2411 0.8446 [1 per cell]
Au 0.2353 0.4846 0.7092 [1 per cell]
Au 0.6001 0.7285 0.3533 [1 per cell]

***

# 12
Starting from a cell relaxed with GGA-PBE, the powder XRD pattern of KH6Au2 was simulated for Cu Kα.

The 6 most intense peaks (2θ = 5–70°), low angle first:
h k l  Position (°2θ)  d (Å)  Rel. int.
0 0 1  15.20  5.828  100
0 2 0  25.42  3.504  31
0 2 1  29.75  3.003  63
0 0 2  30.68  2.914  29
2 0 -1  32.24  2.777  26
2 2 0  38.53  2.337  33

Structural model:
Cell lengths 6.2730, 7.0071, 5.8285 Å; angles 90.00, 90.74, 90.00 degrees
Space group C2/m (No. 12)
Inequivalent atoms, fractional coordinates:
K 0.0000 0.0000 0.0000 [2 per cell]
H 0.2304 0.0000 0.5001 [4 per cell]
H 0.2485 0.2500 0.7834 [8 per cell]
Au 0.2500 0.2500 0.5000 [4 per cell]

***

# 13
Starting from a cell relaxed with GGA-PBE, the powder XRD pattern of KH4Au2 was simulated for Cu Kα.

The 6 most intense peaks (2θ = 5–70°), low angle first:
h k l  Position (°2θ)  d (Å)  Rel. int.
0 0 1  16.65  5.326  100
0 1 0  24.96  3.567  74
1 0 1  29.42  3.036  49
0 1 1  30.15  2.964  85
1 0 -2  31.42  2.847  60
2 0 -1  34.32  2.613  45

Structural model:
Cell lengths 5.2380, 3.5671, 5.7822 Å; angles 90.00, 112.91, 90.00 degrees
Space group P2/m (No. 10)
Inequivalent atoms, fractional coordinates:
K 0.0000 0.0000 0.0000 [1 per cell]
H 0.2624 0.0000 0.6251 [2 per cell]
H 0.3716 0.5000 0.2385 [2 per cell]
Au 0.2791 0.5000 0.6138 [2 per cell]